Record 1
For NpMn3Br2O6, a structure optimized by DFT (PBE+U) gives the computed XRD peak list in this record (copper Kα).
Intensities are scaled so that the largest is 100.

Structural model:
```
12
Lattice="5.4432 -3.1727 0.0000 5.4432 3.1727 0.0000 -1.4733 0.0000 5.6391" Properties=species:S:1:pos:R:3 pbc="T T T"
Np 0.0000 0.0000 0.0000
Mn 2.7216 1.5864 0.0000
Mn 2.7216 -1.5864 0.0000
Mn 4.7065 0.0000 2.8196
Br 2.2781 0.0000 3.7130
Br 7.1350 0.0000 1.9262
O 4.4405 1.6756 1.0278
O 2.0234 0.0000 0.8503
O 4.9726 1.6756 4.6113
O 4.4405 -1.6756 1.0278
O 7.3897 0.0000 4.7889
O 4.9726 -1.6756 4.6113
```

Top 6 peaks for 15 to 90 degrees two-theta, in order of falling intensity:
2θ (°)	Rel. int.
24.2	100
34.7	46
15.7	45
21.2	34
33.9	30
29.1	27

=====

Record 2
For MnBrO4, a structure optimized by DFT (PBE+U) gives the computed XRD peak list in this record (copper Kα).
Intensities are scaled so that the largest is 100.

Structural model:
```
6
Lattice="-3.1707 3.1707 2.2350 3.1707 -3.1707 2.2350 3.1707 3.1707 -2.2350" Properties=species:S:1:pos:R:3 pbc="T T T"
Mn 0.0000 0.0000 0.0000
Br 0.0000 3.1707 1.1175
O 2.6016 1.9281 -1.1603
O 0.5691 1.2427 1.0747
O 1.2427 -0.5691 3.3952
O 1.9281 3.7399 1.1603
```

Top 6 peaks for 15 to 90 degrees two-theta, in order of falling intensity:
2θ (°)	Rel. int.
24.4	100
28.1	41
37.6	35
62.2	26
45.3	19
56.2	17

=====

Record 3
For PmMnBrO2, a structure optimized by DFT (PBE+U) gives the computed XRD peak list in this record (copper Kα).
Intensities are scaled so that the largest is 100.

Structural model:
```
10
Lattice="7.5003 0.0000 0.0000 0.0000 4.1581 0.0000 -3.5452 0.0000 6.8453" Properties=species:S:1:pos:R:3 pbc="T T T"
Pm 1.4189 1.0395 0.4085
Pm 2.5361 3.1186 6.4367
Mn 0.8987 3.1186 2.9953
Mn 3.0563 1.0395 3.8500
Br -0.5974 3.1186 5.3459
Br 4.5525 1.0395 1.4994
O 0.5075 3.1186 0.8432
O 1.2885 1.0395 2.6565
O 2.6665 3.1186 4.1888
O 3.4475 1.0395 6.0021
```

Top 6 peaks for 15 to 90 degrees two-theta, in order of falling intensity:
2θ (°)	Rel. int.
26.8	100
25.4	97
35.0	69
35.2	65
31.7	51
25.1	50

=====

Record 4
For Mn4SiTeBr2O7, a structure optimized by DFT (PBE+U) gives the computed XRD peak list in this record (copper Kα).
Intensities are scaled so that the largest is 100.

Structural model:
```
30
Lattice="5.5915 0.0000 0.0000 0.0000 6.6013 0.0000 -0.7416 0.0000 13.1432" Properties=species:S:1:pos:R:3 pbc="T T T"
Mn -0.0269 1.6503 4.2455
Mn 0.2179 1.6503 11.0010
Mn 1.8777 0.0173 1.7571
Mn 1.8777 3.2834 1.7571
Mn 2.9723 3.3179 11.3861
Mn 2.9723 6.5840 11.3861
Mn 4.6320 4.9510 2.1422
Mn 4.8768 4.9510 8.8977
Si 0.1761 4.9510 12.3344
Si 4.6738 1.6503 0.8089
Te 1.3731 4.9510 4.5163
Te 3.4768 1.6503 8.6269
Br 0.4447 1.6503 6.8047
Br 1.9013 4.9510 8.9195
Br 2.9487 1.6503 4.2238
Br 4.4053 4.9510 6.3385
O 0.3668 3.6161 3.5634
O 0.3668 6.2858 3.5634
O 0.5984 1.6503 1.4710
O 0.8142 4.9510 0.8593
O 0.9697 3.5585 11.9301
O 0.9697 6.3434 11.9301
O 2.1876 1.6503 10.0864
O 2.6624 4.9510 3.0569
O 3.8803 0.2579 1.2131
O 3.8803 3.0427 1.2131
O 4.0358 1.6503 12.2839
O 4.2515 4.9510 11.6723
O 4.4831 0.3155 9.5798
O 4.4831 2.9852 9.5798
```

Top 6 peaks for 15 to 90 degrees two-theta, in order of falling intensity:
2θ (°)	Rel. int.
35.2	100
28.6	98
29.9	90
27.0	76
27.9	71
34.8	66

=====

What did the first record say?
For NpMn3Br2O6, a structure optimized by DFT (PBE+U) gives the computed XRD peak list in this record (copper Kα).
Intensities are scaled so that the largest is 100.

Structural model:
```
12
Lattice="5.4432 -3.1727 0.0000 5.4432 3.1727 0.0000 -1.4733 0.0000 5.6391" Properties=species:S:1:pos:R:3 pbc="T T T"
Np 0.0000 0.0000 0.0000
Mn 2.7216 1.5864 0.0000
Mn 2.7216 -1.5864 0.0000
Mn 4.7065 0.0000 2.8196
Br 2.2781 0.0000 3.7130
Br 7.1350 0.0000 1.9262
O 4.4405 1.6756 1.0278
O 2.0234 0.0000 0.8503
O 4.9726 1.6756 4.6113
O 4.4405 -1.6756 1.0278
O 7.3897 0.0000 4.7889
O 4.9726 -1.6756 4.6113
```

Top 6 peaks for 15 to 90 degrees two-theta, in order of falling intensity:
2θ (°)	Rel. int.
24.2	100
34.7	46
15.7	45
21.2	34
33.9	30
29.1	27